# Sc3Cu3P2
Calculated X-ray powder pattern, Cu Kα. Input: the GGA-PBE geometry in OQMD.

Principal peaks in the range 2θ = 10–80°, by angle:
28.72°, I 100, (1 1 0); 33.85°, I 92, (0 2 1); 35.40°, I 58, (2 0 2); 45.24°, I 52, (1 0 7); 59.48°, I 36, (2 2 0); 62.74°, I 36, (2 1 7)

Cell and atoms:
```
data_Sc3Cu3P2
_chemical_formula_sum 'Sc9 Cu9 P6'
_symmetry_space_group_name_H-M 'R -3 m'
_symmetry_Int_Tables_number 166
_symmetry_space_group_name_Hall '-R 3 2"'
_cell_length_a 6.2159
_cell_length_b 6.2159
_cell_length_c 15.1186
_cell_angle_alpha 90.00
_cell_angle_beta 90.00
_cell_angle_gamma 120.00
loop_
_atom_site_label
_atom_site_type_symbol
_atom_site_fract_x
_atom_site_fract_y
_atom_site_fract_z
Sc1 Sc 0.0000 0.5000 0.0000
Cu1 Cu 0.0000 0.0000 0.0753
Cu2 Cu 0.0000 0.0000 0.5000
P1 P 0.0000 0.0000 0.2184
```